Simulated X-ray diffraction stick pattern of RbLaTeBr2 for Cu Ka, from the GGA-PBE geometry in Alexandria.
Lines closer than 0.1° are merged.

Cell and atoms:
Cell lengths 9.8730, 9.8730, 9.1636 Å; angles 90.00, 90.00, 152.64 degrees
Fractional coordinates of all 10 atoms:
Rb1 0.2089 0.7911 0.7500
Rb2 0.7911 0.2089 0.2500
La1 0.5000 0.5000 0.0000
La2 0.5000 0.5000 0.5000
Te1 0.0022 0.9978 0.7500
Te2 0.9978 0.0022 0.2500
Br1 0.3479 0.6521 0.5020
Br2 0.3479 0.6521 0.9980
Br3 0.6521 0.3479 0.0020
Br4 0.6521 0.3479 0.4980

Peak list (10 most intense, 2θ = 15–90°, in order of falling intensity)
| two_theta | I/Imax |
| --- | --- |
| 27.67 | 100 |
| 36.08 | 43 |
| 27.90 | 27 |
| 43.06 | 26 |
| 38.55 | 19 |
| 39.33 | 18 |
| 18.50 | 14 |
| 56.25 | 12 |
| 48.26 | 12 |
| 48.91 | 11 |